Calculated powder XRD pattern of LiCaFeF6 for Cu Ka, from the GGA+U geometry in the Materials Project.
No peak broadening, texture or thermal motion is included.

Top 6 peaks for 2θ = 10–90°, by angle:
2θ (°)  I_rel
21.58  78
26.65  100
38.95  58
43.97  21
50.73  67
61.46  29

Atomic structure:
```
LiCaFeF6
1.0
5.226 0.000 0.000
-2.613 4.526 0.000
0.000 0.000 9.928
Li Ca Fe F
2 2 2 12
Direct
0.333 0.667 0.250
0.667 0.333 0.750
0.000 0.000 0.000
0.000 0.000 0.500
0.333 0.667 0.750
0.667 0.333 0.250
0.016 0.361 0.860
0.016 0.654 0.640
0.346 0.361 0.640
0.346 0.984 0.860
0.361 0.016 0.360
0.361 0.346 0.140
0.639 0.654 0.860
0.639 0.984 0.640
0.654 0.016 0.140
0.654 0.639 0.360
0.984 0.346 0.360
0.984 0.639 0.140
```


Calculated powder XRD pattern of Na2Ca2Zr2MnFeSi4O17F for Cu Ka, from the GGA+U geometry in the Materials Project.
No peak broadening, texture or thermal motion is included.

Top 6 peaks for 2θ = 10–90°, by angle:
2θ (°)  I_rel
12.86  27
22.04  27
30.45  100
31.21  32
31.45  35
50.33  22

Atomic structure:
```
Na2Ca2Zr2MnFeSi4O17F
1.0
7.253 0.000 0.000
-0.017 10.004 0.000
-3.458 -0.083 10.432
Na Ca Zr Mn Fe Si O F
4 4 4 2 2 8 34 2
Direct
0.000 0.000 0.000
0.002 0.729 0.501
0.314 0.232 0.141
0.320 0.499 0.643
0.138 0.221 0.777
0.141 0.511 0.277
0.183 0.722 0.877
0.185 0.006 0.378
0.634 0.215 0.782
0.634 0.515 0.285
0.679 0.009 0.364
0.681 0.718 0.865
0.504 0.731 0.513
0.795 0.239 0.131
0.497 0.005 0.011
0.792 0.489 0.631
0.325 0.945 0.690
0.326 0.785 0.189
0.440 0.285 0.452
0.440 0.446 0.953
0.872 0.941 0.692
0.874 0.787 0.192
0.990 0.286 0.458
0.990 0.445 0.957
0.001 0.376 0.091
0.098 0.936 0.689
0.102 0.791 0.194
0.208 0.287 0.441
0.208 0.443 0.939
0.275 0.107 0.954
0.287 0.624 0.457
0.329 0.873 0.558
0.331 0.854 0.058
0.379 0.104 0.693
0.382 0.625 0.195
0.443 0.377 0.330
0.445 0.351 0.832
0.449 0.866 0.319
0.450 0.868 0.822
0.483 0.600 0.922
0.484 0.130 0.420
0.566 0.394 0.095
0.567 0.336 0.594
0.611 0.086 0.188
0.618 0.633 0.694
0.689 0.603 0.456
0.690 0.125 0.952
0.733 0.883 0.553
0.740 0.841 0.053
0.830 0.096 0.722
0.833 0.633 0.227
0.861 0.363 0.828
0.862 0.369 0.330
0.880 0.850 0.817
0.880 0.879 0.318
0.929 0.127 0.446
0.932 0.605 0.949
0.999 0.356 0.592
0.061 0.617 0.689
0.062 0.111 0.191
```


Calculated powder XRD pattern of CaFe6O4F8 for Cu Ka, from the GGA+U geometry in the Materials Project.
No peak broadening, texture or thermal motion is included.

Top 6 peaks for 2θ = 10–90°, by angle:
2θ (°)  I_rel
21.06  100
27.41  78
29.63  32
32.50  30
33.20  30
34.56  32

Atomic structure:
```
CaFe6O4F8
1.0
6.080 0.000 0.000
-2.666 5.565 0.000
-1.589 -2.162 7.572
Ca Fe O F
1 6 4 8
Direct
0.000 0.000 0.000
0.018 0.425 0.710
0.108 0.982 0.450
0.153 0.659 0.149
0.478 0.983 0.891
0.497 0.614 0.565
0.597 0.339 0.262
0.154 0.726 0.915
0.178 0.314 0.550
0.279 0.052 0.265
0.901 0.640 0.282
0.340 0.892 0.606
0.402 0.552 0.284
0.407 0.271 0.999
0.605 0.717 0.842
0.698 0.390 0.528
0.728 0.112 0.167
0.840 0.234 0.882
0.853 0.893 0.595
```


Calculated powder XRD pattern of CaFe8O8F8 for Cu Ka, from the GGA+U geometry in the Materials Project.
No peak broadening, texture or thermal motion is included.

Top 6 peaks for 2θ = 10–90°, by angle:
2θ (°)  I_rel
23.75  83
24.43  100
28.74  81
39.02  42
39.13  34
59.56  31

Atomic structure:
```
CaFe8O8F8
1.0
5.112 0.000 0.000
0.156 5.354 0.000
0.436 0.387 11.909
Ca Fe O F
1 8 8 8
Direct
0.000 0.000 0.000
0.002 0.573 0.840
0.390 0.094 0.490
0.491 0.947 0.738
0.493 0.369 0.002
0.531 0.979 0.243
0.859 0.437 0.613
0.885 0.451 0.366
0.939 0.502 0.128
0.103 0.336 0.492
0.120 0.399 0.980
0.224 0.842 0.846
0.610 0.178 0.618
0.635 0.189 0.367
0.684 0.186 0.118
0.744 0.668 0.731
0.764 0.690 0.249
0.128 0.332 0.730
0.152 0.321 0.253
0.264 0.849 0.610
0.271 0.837 0.132
0.277 0.867 0.370
0.661 0.168 0.862
0.718 0.656 0.490
0.718 0.686 0.967
```


Calculated powder XRD pattern of CaFe6O4F8 for Cu Ka, from the GGA+U geometry in the Materials Project.
No peak broadening, texture or thermal motion is included.

Top 6 peaks for 2θ = 10–90°, by angle:
2θ (°)  I_rel
22.12  100
27.03  98
30.56  29
32.29  49
34.42  56
38.08  38

Atomic structure:
```
CaFe6O4F8
1.0
5.844 0.000 0.000
-2.228 5.558 0.000
-1.095 -2.386 7.581
Ca Fe O F
1 6 4 8
Direct
0.000 0.000 0.000
0.031 0.478 0.855
0.055 0.073 0.410
0.410 0.980 0.704
0.436 0.650 0.244
0.578 0.109 0.091
0.757 0.562 0.550
0.059 0.881 0.569
0.285 0.843 0.888
0.738 0.176 0.879
0.743 0.932 0.228
0.163 0.334 0.274
0.205 0.877 0.225
0.297 0.375 0.979
0.446 0.237 0.549
0.508 0.764 0.533
0.662 0.433 0.273
0.755 0.628 0.813
0.982 0.338 0.576
```


Calculated powder XRD pattern of CaFe6O4F8 for Cu Ka, from the GGA+U geometry in the Materials Project.
No peak broadening, texture or thermal motion is included.

Top 6 peaks for 2θ = 10–90°, by angle:
2θ (°)  I_rel
24.52  50
27.69  100
29.35  81
29.79  72
33.46  52
33.74  59

Atomic structure:
```
CaFe6O4F8
1.0
5.854 0.000 0.000
-2.488 5.513 0.000
-1.737 -2.143 7.774
Ca Fe O F
1 6 4 8
Direct
0.000 0.000 0.000
0.182 0.735 0.331
0.390 0.749 0.717
0.495 0.428 0.389
0.626 0.147 0.154
0.798 0.380 0.830
0.897 0.046 0.529
0.332 0.049 0.240
0.551 0.760 0.498
0.627 0.094 0.925
0.773 0.487 0.275
0.044 0.203 0.795
0.125 0.711 0.877
0.157 0.875 0.571
0.204 0.423 0.186
0.209 0.357 0.523
0.627 0.626 0.858
0.695 0.321 0.566
0.818 0.976 0.240
```


Calculated powder XRD pattern of CaFe6O4F8 for Cu Ka, from the GGA+U geometry in the Materials Project.
No peak broadening, texture or thermal motion is included.

Top 6 peaks for 2θ = 10–90°, by angle:
2θ (°)  I_rel
25.58  100
26.49  38
29.25  33
32.28  30
32.43  21
52.57  21

Atomic structure:
```
CaFe6O4F8
1.0
5.879 0.000 0.000
2.046 5.525 0.000
2.176 1.508 7.294
Ca Fe O F
1 6 4 8
Direct
0.000 0.000 0.000
0.081 0.465 0.200
0.113 0.591 0.644
0.396 0.879 0.347
0.556 0.919 0.767
0.560 0.422 0.994
0.757 0.247 0.489
0.058 0.930 0.498
0.377 0.189 0.163
0.454 0.541 0.501
0.791 0.604 0.819
0.010 0.444 0.476
0.224 0.653 0.866
0.243 0.201 0.791
0.304 0.721 0.155
0.545 0.997 0.497
0.726 0.151 0.810
0.774 0.761 0.192
0.844 0.283 0.180
```